Record 1
Structure and simulated PXRD pattern of Li2HoNpO6 (a structure optimized by DFT (PBE); Cu Ka).
Neutral-atom scattering factors, no anomalous dispersion.

Cell and atoms:
```
Li2HoNpO6
1.0
2.6826 1.5488 5.1381
-2.6826 1.5488 5.1381
0.0000 -3.0977 5.1381
Li Ho Np O
2 1 1 6
Cartesian
0.0000 0.0000 3.1246
0.0000 0.0000 12.2897
0.0000 0.0000 0.0000
0.0000 0.0000 7.7072
-0.7405 -1.5188 6.5873
-1.6856 -0.1182 8.8271
-0.9451 1.4007 6.5873
0.9451 -1.4007 8.8271
1.6856 0.1182 6.5873
0.7405 1.5188 8.8271
```

Main lines, by angle (15 to 90 degrees two-theta):
| 2θ (°) | Rel. int. |
| --- | --- |
| 22.3 | 100 |
| 30.1 | 46 |
| 33.4 | 29 |
| 40.6 | 18 |
| 45.6 | 18 |
| 49.1 | 31 |
| 53.5 | 19 |
| 57.7 | 16 |



Record 2
Structure and simulated PXRD pattern of LiHo2PO6 (a structure optimized by DFT (PBE); Cu Ka).
Neutral-atom scattering factors, no anomalous dispersion.

Cell and atoms:
```
LiHo2PO6
1.0
5.0136 0.0000 0.0000
0.0000 5.0136 0.0000
0.0000 0.0000 4.4438
Li Ho P O
1 2 1 6
Cartesian
0.0000 0.0000 0.0000
0.0000 2.5068 1.9642
2.5068 0.0000 1.9642
2.5068 2.5068 0.1285
0.0000 0.0000 2.5200
1.3737 1.3737 0.5580
1.3737 3.6399 0.5580
2.5068 2.5068 2.9672
3.6399 1.3737 0.5580
3.6399 3.6399 0.5580
```

Main lines, by angle (15 to 90 degrees two-theta):
| 2θ (°) | Rel. int. |
| --- | --- |
| 20.0 | 56 |
| 25.1 | 50 |
| 32.3 | 100 |
| 35.8 | 35 |
| 41.4 | 50 |
| 48.3 | 30 |
| 55.2 | 25 |
| 62.2 | 31 |



Record 3
Structure and simulated PXRD pattern of LiHoP4O12 (a structure optimized by DFT (PBE); Cu Ka).
Neutral-atom scattering factors, no anomalous dispersion.

Cell and atoms:
```
LiHoP4O12
1.0
8.2035 -3.5621 0.0000
8.2035 3.5621 0.0000
-5.6868 0.0000 7.8285
Li Ho P O
2 2 8 24
Cartesian
3.9384 2.0864 5.8714
6.7818 -2.0864 1.9571
6.7818 1.4723 1.9571
3.9384 -1.4723 5.8714
-1.2637 0.3583 4.8287
1.5797 -0.3583 0.9144
1.2337 1.0561 6.3192
6.6430 1.0561 5.4236
4.0772 -1.0561 2.4049
9.4864 -1.0561 1.5093
9.1405 0.3583 6.9141
11.9839 -0.3583 2.9998
1.2196 0.9196 1.8204
-1.3473 0.0291 3.3578
-4.1907 -0.0291 7.2721
4.5835 2.0610 2.4579
0.3116 0.5480 5.1201
0.6047 0.8254 7.6600
-1.6238 -0.9196 5.7346
3.1550 -0.5480 1.2058
8.9801 2.0610 1.4564
2.6324 0.5689 6.0637
5.2444 0.5689 5.6791
3.4481 -0.8254 3.7457
7.2721 0.8254 4.0828
5.4758 -0.5689 2.1494
8.0878 -0.5689 1.7649
1.7401 -2.0610 6.3721
7.5652 0.5480 6.6227
12.3440 0.9196 2.0939
10.1155 -0.8254 0.1686
10.4086 -0.5480 2.7084
6.1367 -2.0610 5.3707
14.9108 0.0291 0.5564
12.0674 -0.0291 4.4707
9.5005 -0.9196 6.0082
```

Main lines, by angle (15 to 90 degrees two-theta):
| 2θ (°) | Rel. int. |
| --- | --- |
| 15.4 | 52 |
| 20.5 | 100 |
| 22.7 | 69 |
| 23.2 | 20 |
| 27.5 | 31 |
| 30.4 | 23 |
| 31.1 | 41 |
| 32.7 | 48 |